Simulated X-ray diffraction stick pattern
Compound: PaAlFe2
Radiation: copper Kα
Structure: the PBE geometry in the Materials Project
Lines closer than 0.1° are merged.

abc: 4.4329 4.4329 4.4329
angles: 60.00 60.00 60.00
Element x y z (fractional)
Pa1 0.0000 0.0000 0.0000
Al1 0.5000 0.5000 0.5000
Fe1 0.2500 0.2500 0.2500
Fe2 0.7500 0.7500 0.7500

Principal peaks in the range 10 to 90 degrees two-theta, most intense first:
d_spacing	I (rel.)
2.216	100
3.619	70
1.890	37
1.280	33
1.567	17
3.135	16